Entry 1:
# BaMg4Tl12
Theoretical powder X-ray diffraction pattern, copper Kα. Input: a DFT-relaxed cell (PBE, Alexandria).

The 8 most intense peaks (10° ≤ 2θ ≤ 80°), by angle:
2θ (°)	d/Å	I_rel
27.39	3.257	1000
32.53	2.752	333
39.12	2.303	92
43.03	2.102	92
44.88	2.020	358
53.38	1.716	177
61.02	1.518	177
69.51	1.352	117

Structural model:
a = 10.298 Å, b = 10.298 Å, c = 10.298 Å
α = 90.00°, β = 90.00°, γ = 90.00°
Space group Im-3 (No. 204)
Inequivalent atoms, fractional coordinates:
Ba  0.000  0.000  0.000 (multiplicity 2)
Mg  0.250  0.250  0.250 (multiplicity 8)
Tl  0.000  0.158  0.351 (multiplicity 24)

Entry 2:
# Nd4Y3Sc
Theoretical powder X-ray diffraction pattern, copper Kα. Input: a DFT-relaxed cell (PBE, Alexandria).

The 8 most intense peaks (10° ≤ 2θ ≤ 80°), by angle:
2θ (°)	d/Å	I_rel
29.60	3.018	820
29.69	3.009	210
30.75	2.907	490
32.53	2.752	1000
36.95	2.433	475
50.68	1.801	240
55.81	1.647	216
60.36	1.533	280

Structural model:
a = 24.066 Å, b = 3.612 Å, c = 6.235 Å
α = 90.00°, β = 104.89°, γ = 90.00°
Space group C2/m (No. 12)
Inequivalent atoms, fractional coordinates:
Nd  0.122  0.000  0.458 (multiplicity 4)
Nd  0.124  0.500  0.957 (multiplicity 4)
Y  0.000  0.000  0.000 (multiplicity 2)
Y  0.250  0.000  0.250 (multiplicity 4)
Sc  0.000  0.500  0.500 (multiplicity 2)

Entry 3:
# As6Pt7
Theoretical powder X-ray diffraction pattern, copper Kα. Input: a DFT-relaxed cell (PBE, Alexandria).

The 8 most intense peaks (10° ≤ 2θ ≤ 80°), by angle:
2θ (°)	d/Å	I_rel
18.26	4.859	720
20.65	4.301	667
36.49	2.462	650
37.81	2.379	639
40.44	2.231	758
42.01	2.151	431
44.09	2.054	1000
65.34	1.428	442

Structural model:
a = 5.7127 Å, b = 5.7127 Å, c = 25.8080 Å
α = 90.00°, β = 90.00°, γ = 120.00°
Space group R-3m (No. 166, hexagonal axes)
Inequivalent atoms, fractional coordinates:
As  0.0000  0.0000  0.0852 (multiplicity 6)
As  0.0000  0.0000  0.1833 (multiplicity 6)
As  0.0000  0.0000  0.3317 (multiplicity 6)
Pt  0.0000  0.0000  0.5000 (multiplicity 3)
Pt  0.0062  0.5031  0.0782 (multiplicity 18)

Entry 4:
# LaGePt4
Theoretical powder X-ray diffraction pattern, copper Kα. Input: a DFT-relaxed cell (PBE, Alexandria).

The 8 most intense peaks (10° ≤ 2θ ≤ 80°), by angle:
2θ (°)	d/Å	I_rel
34.49	2.601	1000
36.08	2.490	713
43.04	2.101	517
44.91	2.018	314
45.44	1.996	170
63.95	1.456	323
65.42	1.427	137
75.29	1.262	146

Structural model:
a = 4.037 Å, b = 15.814 Å, c = 6.963 Å
α = 90.00°, β = 90.00°, γ = 90.00°
Space group Cmcm (No. 63)
Inequivalent atoms, fractional coordinates:
La  0.000  0.101  0.250 (multiplicity 4)
Ge  0.000  0.240  0.750 (multiplicity 4)
Pt  0.000  0.082  0.750 (multiplicity 4)
Pt  0.000  0.321  0.050 (multiplicity 8)
Pt  0.000  0.500  0.000 (multiplicity 4)

Repeat the third record exactly.
# As6Pt7
Theoretical powder X-ray diffraction pattern, copper Kα. Input: a DFT-relaxed cell (PBE, Alexandria).

The 8 most intense peaks (10° ≤ 2θ ≤ 80°), by angle:
2θ (°)	d/Å	I_rel
18.26	4.859	720
20.65	4.301	667
36.49	2.462	650
37.81	2.379	639
40.44	2.231	758
42.01	2.151	431
44.09	2.054	1000
65.34	1.428	442

Structural model:
a = 5.7127 Å, b = 5.7127 Å, c = 25.8080 Å
α = 90.00°, β = 90.00°, γ = 120.00°
Space group R-3m (No. 166, hexagonal axes)
Inequivalent atoms, fractional coordinates:
As  0.0000  0.0000  0.0852 (multiplicity 6)
As  0.0000  0.0000  0.1833 (multiplicity 6)
As  0.0000  0.0000  0.3317 (multiplicity 6)
Pt  0.0000  0.0000  0.5000 (multiplicity 3)
Pt  0.0062  0.5031  0.0782 (multiplicity 18)